Entry 1:
# NaNd2CuO5
Theoretical X-ray diffraction stick pattern, Cu Ka. Input: a structure optimized by DFT (PBE).
No peak broadening, texture or thermal motion is included.

Crystal structure
```
18
Lattice="6.7503 0.0000 0.0000 0.0000 6.7503 0.0000 0.0000 0.0000 5.6192" Properties=species:S:1:pos:R:3 pbc="T T T"
Na 0.0000 0.0000 0.0000
Na 3.3751 3.3751 0.0000
Nd 1.1983 2.1768 2.8096
Nd 2.1768 5.5520 2.8096
Nd 4.5735 1.1983 2.8096
Nd 5.5520 4.5735 2.8096
Cu 0.0000 3.3751 0.0000
Cu 3.3751 0.0000 0.0000
O 0.0000 0.0000 2.8096
O 0.8848 4.2600 1.3429
O 0.8848 4.2600 4.2763
O 2.4903 0.8848 1.3429
O 2.4903 0.8848 4.2763
O 3.3751 3.3751 2.8096
O 4.2600 5.8655 1.3429
O 4.2600 5.8655 4.2763
O 5.8655 2.4903 1.3429
O 5.8655 2.4903 4.2763
```

Main lines, most intense first (2θ from 5° to 70°):
33.70°, intensity 100
30.91°, intensity 94
15.77°, intensity 79
44.03°, intensity 68
29.59°, intensity 38
31.85°, intensity 37
18.59°, intensity 34
56.17°, intensity 33
45.45°, intensity 33
57.95°, intensity 33
58.74°, intensity 30
66.05°, intensity 22

---

Entry 2:
# Ba3SnI8
Theoretical X-ray diffraction stick pattern, Cu Ka. Input: a structure optimized by DFT (PBE).
No peak broadening, texture or thermal motion is included.

Crystal structure
```
12
Lattice="4.8288 -7.4624 0.0000 4.8288 7.4624 0.0000 0.0000 0.0000 9.8201" Properties=species:S:1:pos:R:3 pbc="T T T"
Ba 0.0000 0.0000 0.0000
Ba 2.4144 3.7312 7.3211
Ba 2.4144 -3.7312 2.4990
Sn 0.0000 0.0000 4.9101
I 4.8288 4.2433 4.9101
I 2.2830 0.2414 7.2028
I 4.8288 3.9919 0.0000
I 2.2830 -0.2414 2.6173
I 7.3746 0.2414 2.6173
I 4.8288 -3.9919 0.0000
I 7.3746 -0.2414 7.2028
I 4.8288 -4.2433 4.9101
```

Main lines, most intense first (2θ from 5° to 70°):
25.88°, intensity 100
35.48°, intensity 70
23.85°, intensity 51
10.91°, intensity 45
14.17°, intensity 36
36.60°, intensity 19
37.24°, intensity 19
44.16°, intensity 18
44.71°, intensity 18
59.10°, intensity 15
21.67°, intensity 14
21.92°, intensity 13

---

Entry 3:
# AlV2Ga4
Theoretical X-ray diffraction stick pattern, Cu Ka. Input: a structure optimized by DFT (PBE).
No peak broadening, texture or thermal motion is included.

Crystal structure
```
14
Lattice="5.3905 0.0000 0.0000 1.2102 6.6337 0.0000 2.3202 2.4196 6.3308" Properties=species:S:1:pos:R:3 pbc="T T T"
Al 0.0000 0.0000 0.0000
Al 3.4699 1.9748 3.7977
V 1.5084 4.3810 1.7393
V 2.7268 6.5682 2.1954
V 3.9466 4.1211 1.9037
V 3.8518 5.9552 0.1088
Ga 2.5831 4.5617 4.0888
Ga 4.9112 6.2832 5.6647
Ga 2.8753 1.8330 0.9937
Ga 5.3326 3.9493 4.3508
Ga 5.3544 6.2703 2.5492
Ga 5.5258 2.0758 1.8269
Ga 7.4622 7.9879 4.2680
Ga 7.6439 6.0760 6.0405
```

Main lines, most intense first (2θ from 5° to 70°):
45.77°, intensity 100
43.36°, intensity 80
40.83°, intensity 73
34.10°, intensity 72
42.35°, intensity 72
36.18°, intensity 52
36.67°, intensity 52
41.81°, intensity 48
42.86°, intensity 42
36.56°, intensity 40
44.68°, intensity 39
43.57°, intensity 36

---

Entry 4:
# BeAlPd3
Theoretical X-ray diffraction stick pattern, Cu Ka. Input: a structure optimized by DFT (PBE).
No peak broadening, texture or thermal motion is included.

Crystal structure
```
10
Lattice="3.9019 -5.7065 0.0000 3.9019 5.7065 0.0000 0.0000 0.0000 3.2743" Properties=species:S:1:pos:R:3 pbc="T T T"
Be 1.9509 2.8532 0.0000
Be 1.9509 -2.8532 0.0000
Al 0.0000 0.0000 0.0000
Al 3.9019 0.0000 1.6371
Pd 1.5451 1.3784 1.6371
Pd 1.5451 -1.3784 1.6371
Pd 3.9019 1.8880 0.0000
Pd 3.9019 -1.8880 0.0000
Pd 6.2587 1.3784 1.6371
Pd 6.2587 -1.3784 1.6371
```

Main lines, most intense first (2θ from 5° to 70°):
35.80°, intensity 100
38.05°, intensity 73
42.05°, intensity 65
48.31°, intensity 61
31.35°, intensity 55
35.39°, intensity 47
30.63°, intensity 25
56.18°, intensity 23
39.11°, intensity 19
60.97°, intensity 15
45.22°, intensity 14
27.24°, intensity 14